No. 1
The following is a computed powder X-ray diffraction pattern of SbIr15. It was derived from the PBE geometry in OQMD, using a wavelength of 1.5418 Å.
Peak positions follow from Bragg's law for the DFT cell and can differ from measured ones.

Atomic structure:
a = 3.861 Å, b = 3.861 Å, c = 43.922 Å
α = 90.00°, β = 90.00°, γ = 90.00°
Positions (direct):
Sb (0.250, 0.000, 0.160)
Sb (0.750, 0.000, 0.840)
Ir (0.250, 0.000, 0.258)
Ir (0.250, 0.000, 0.346)
Ir (0.250, 0.000, 0.434)
Ir (0.250, 0.000, 0.522)
Ir (0.250, 0.000, 0.610)
Ir (0.250, 0.000, 0.698)
Ir (0.250, 0.000, 0.785)
Ir (0.250, 0.500, 0.215)
Ir (0.250, 0.500, 0.302)
Ir (0.250, 0.500, 0.390)
Ir (0.250, 0.500, 0.478)
Ir (0.250, 0.500, 0.566)
Ir (0.250, 0.500, 0.654)
Ir (0.250, 0.500, 0.742)
Ir (0.250, 0.500, 0.829)
Ir (0.750, 0.000, 0.215)
Ir (0.750, 0.000, 0.302)
Ir (0.750, 0.000, 0.390)
Ir (0.750, 0.000, 0.478)
Ir (0.750, 0.000, 0.566)
Ir (0.750, 0.000, 0.654)
Ir (0.750, 0.000, 0.742)
Ir (0.750, 0.500, 0.171)
Ir (0.750, 0.500, 0.258)
Ir (0.750, 0.500, 0.346)
Ir (0.750, 0.500, 0.434)
Ir (0.750, 0.500, 0.522)
Ir (0.750, 0.500, 0.610)
Ir (0.750, 0.500, 0.698)
Ir (0.750, 0.500, 0.785)

Principal peaks in the range 2θ = 10–80°, most intense first:
2theta  d/Å  Rel. int.
40.0  2.254  100
41.3  2.189  56
47.1  1.930  51
69.2  1.358  21
68.8  1.365  17
47.6  1.910  16
67.5  1.388  11
45.4  1.996  9
37.8  2.383  5
10.1  8.784  5
47.3  1.923  3
36.8  2.444  2

=====

No. 2
The following is a computed powder X-ray diffraction pattern of SbIr10. It was derived from the PBE geometry in OQMD, using a wavelength of 1.5418 Å.
Peak positions follow from Bragg's law for the DFT cell and can differ from measured ones.

Atomic structure:
a = 4.699 Å, b = 4.699 Å, c = 31.730 Å
α = 90.07°, β = 90.07°, γ = 48.49°
Positions (direct):
Sb (0.152, 0.152, 0.209)
Sb (0.848, 0.848, 0.791)
Ir (0.050, 0.050, 0.405)
Ir (0.050, 0.050, 0.677)
Ir (0.150, 0.150, 0.487)
Ir (0.151, 0.151, 0.759)
Ir (0.250, 0.250, 0.568)
Ir (0.252, 0.252, 0.295)
Ir (0.349, 0.349, 0.650)
Ir (0.352, 0.352, 0.377)
Ir (0.450, 0.450, 0.459)
Ir (0.454, 0.454, 0.731)
Ir (0.546, 0.546, 0.269)
Ir (0.550, 0.550, 0.541)
Ir (0.648, 0.648, 0.623)
Ir (0.651, 0.651, 0.350)
Ir (0.748, 0.748, 0.705)
Ir (0.750, 0.750, 0.432)
Ir (0.849, 0.849, 0.241)
Ir (0.850, 0.850, 0.513)
Ir (0.950, 0.950, 0.323)
Ir (0.950, 0.950, 0.595)

Principal peaks in the range 2θ = 10–80°, most intense first:
2theta  d/Å  Rel. int.
40.4  2.230  100
40.9  2.206  86
40.2  2.244  61
47.1  1.928  51
38.2  2.356  34
68.7  1.366  29
46.9  1.936  29
47.9  1.898  28
45.2  2.005  24
42.8  2.113  23
69.5  1.353  18
48.3  1.884  18

=====

No. 3
The following is a computed powder X-ray diffraction pattern of SbIr8. It was derived from the PBE geometry in OQMD, using a wavelength of 1.5418 Å.
Peak positions follow from Bragg's law for the DFT cell and can differ from measured ones.

Atomic structure:
a = 4.708 Å, b = 4.708 Å, c = 26.283 Å
α = 90.02°, β = 90.02°, γ = 48.65°
Positions (direct):
Sb (0.051, 0.051, 0.215)
Sb (0.949, 0.949, 0.785)
Ir (0.049, 0.049, 0.549)
Ir (0.148, 0.148, 0.648)
Ir (0.153, 0.153, 0.319)
Ir (0.250, 0.250, 0.746)
Ir (0.252, 0.252, 0.418)
Ir (0.350, 0.350, 0.516)
Ir (0.447, 0.447, 0.287)
Ir (0.447, 0.447, 0.615)
Ir (0.553, 0.553, 0.385)
Ir (0.553, 0.553, 0.713)
Ir (0.650, 0.650, 0.484)
Ir (0.748, 0.748, 0.582)
Ir (0.750, 0.750, 0.254)
Ir (0.847, 0.847, 0.681)
Ir (0.852, 0.852, 0.352)
Ir (0.951, 0.951, 0.451)

Principal peaks in the range 2θ = 10–80°, most intense first:
2theta  d/Å  Rel. int.
40.1  2.251  100
40.5  2.226  99
42.9  2.109  34
46.5  1.951  33
46.8  1.939  33
47.2  1.926  32
39.8  2.267  29
41.6  2.173  29
37.4  2.406  27
10.1  8.761  25
68.2  1.375  21
68.7  1.367  21

=====

No. 4
The following is a computed powder X-ray diffraction pattern of SbIr15. It was derived from the PBE geometry in OQMD, using a wavelength of 1.5418 Å.
Peak positions follow from Bragg's law for the DFT cell and can differ from measured ones.

Atomic structure:
a = 7.689 Å, b = 2.743 Å, c = 35.247 Å
α = 90.00°, β = 90.00°, γ = 90.00°
Positions (direct):
Sb (0.125, 0.250, 0.296)
Sb (0.875, 0.750, 0.704)
Ir (0.125, 0.250, 0.058)
Ir (0.125, 0.250, 0.136)
Ir (0.125, 0.250, 0.213)
Ir (0.125, 0.250, 0.826)
Ir (0.125, 0.250, 0.981)
Ir (0.126, 0.250, 0.903)
Ir (0.127, 0.250, 0.747)
Ir (0.375, 0.750, 0.020)
Ir (0.375, 0.750, 0.174)
Ir (0.375, 0.750, 0.713)
Ir (0.375, 0.750, 0.789)
Ir (0.375, 0.750, 0.865)
Ir (0.375, 0.750, 0.942)
Ir (0.376, 0.750, 0.096)
Ir (0.377, 0.750, 0.253)
Ir (0.623, 0.250, 0.747)
Ir (0.624, 0.250, 0.904)
Ir (0.625, 0.250, 0.058)
Ir (0.625, 0.250, 0.135)
Ir (0.625, 0.250, 0.211)
Ir (0.625, 0.250, 0.287)
Ir (0.625, 0.250, 0.826)
Ir (0.625, 0.250, 0.980)
Ir (0.873, 0.750, 0.253)
Ir (0.874, 0.750, 0.097)
Ir (0.875, 0.750, 0.019)
Ir (0.875, 0.750, 0.174)
Ir (0.875, 0.750, 0.787)
Ir (0.875, 0.750, 0.864)
Ir (0.875, 0.750, 0.942)

Principal peaks in the range 2θ = 10–80°, most intense first:
2theta  d/Å  Rel. int.
40.4  2.231  100
40.7  2.216  67
47.1  1.928  42
47.3  1.921  32
69.0  1.361  28
38.6  2.334  24
45.2  2.005  17
10.0  8.812  13
68.4  1.371  11
42.9  2.106  10
67.5  1.387  10
49.1  1.855  7

=====

No. 5
The following is a computed powder X-ray diffraction pattern of Sb2Ir7. It was derived from the PBE geometry in OQMD, using a wavelength of 1.5418 Å.
Peak positions follow from Bragg's law for the DFT cell and can differ from measured ones.

Atomic structure:
a = 2.846 Å, b = 2.846 Å, c = 31.474 Å
α = 90.00°, β = 90.00°, γ = 120.00°
Positions (direct):
Sb (0.333, 0.667, 0.219)
Sb (0.667, 0.333, 0.781)
Ir (0.000, 0.000, 0.291)
Ir (0.000, 0.000, 0.500)
Ir (0.000, 0.000, 0.709)
Ir (0.333, 0.667, 0.430)
Ir (0.333, 0.667, 0.638)
Ir (0.667, 0.333, 0.362)
Ir (0.667, 0.333, 0.570)

Principal peaks in the range 2θ = 10–80°, most intense first:
2theta  d/Å  Rel. int.
39.3  2.295  100
38.3  2.352  54
46.8  1.941  51
45.0  2.015  50
65.6  1.423  37
40.1  2.248  29
79.8  1.202  24
68.2  1.375  21
43.1  2.098  16
79.2  1.210  14
40.4  2.231  12
71.1  1.326  7

=====

No. 6
The following is a computed powder X-ray diffraction pattern of TmScSb2Ir2. It was derived from the PBE geometry in OQMD, using a wavelength of 1.5418 Å.
Peak positions follow from Bragg's law for the DFT cell and can differ from measured ones.

Atomic structure:
a = 4.543 Å, b = 9.082 Å, c = 6.431 Å
α = 90.00°, β = 90.00°, γ = 90.00°
Positions (direct):
Tm (0.000, 0.125, 0.000)
Tm (0.500, 0.875, 0.500)
Sc (0.000, 0.623, 0.001)
Sc (0.500, 0.377, 0.501)
Sb (0.000, 0.130, 0.502)
Sb (0.000, 0.621, 0.497)
Sb (0.500, 0.379, 0.997)
Sb (0.500, 0.870, 0.002)
Ir (0.000, 0.379, 0.746)
Ir (0.000, 0.868, 0.756)
Ir (0.500, 0.132, 0.256)
Ir (0.500, 0.621, 0.246)

Principal peaks in the range 2θ = 10–80°, most intense first:
2theta  d/Å  Rel. int.
39.7  2.272  100
24.0  3.710  51
72.0  1.312  34
46.9  1.937  26
57.4  1.606  17
63.1  1.474  11
77.1  1.237  8
25.9  3.435  3
16.9  5.248  2
35.6  2.521  2
29.5  3.029  2
21.9  4.063  2

=====

No. 7
The following is a computed powder X-ray diffraction pattern of SrSiSb3Ir6. It was derived from the PBE geometry in OQMD, using a wavelength of 1.5418 Å.
Peak positions follow from Bragg's law for the DFT cell and can differ from measured ones.

Atomic structure:
a = 7.528 Å, b = 7.528 Å, c = 4.039 Å
α = 90.00°, β = 90.00°, γ = 120.00°
Positions (direct):
Sr (0.000, 0.000, 0.000)
Si (0.333, 0.667, 0.000)
Sb (0.382, 0.191, 0.500)
Sb (0.809, 0.191, 0.500)
Sb (0.809, 0.618, 0.500)
Ir (0.210, 0.421, 0.500)
Ir (0.210, 0.790, 0.500)
Ir (0.522, 0.043, 0.000)
Ir (0.522, 0.478, 0.000)
Ir (0.579, 0.790, 0.500)
Ir (0.957, 0.478, 0.000)

Principal peaks in the range 2θ = 10–80°, most intense first:
2theta  d/Å  Rel. int.
35.4  2.537  100
43.0  2.104  51
44.9  2.020  22
48.4  1.882  20
13.6  6.520  20
41.6  2.173  18
36.5  2.464  17
68.1  1.377  15
76.8  1.241  13
62.8  1.479  11
76.6  1.244  11
25.9  3.434  10

=====

No. 8
The following is a computed powder X-ray diffraction pattern of YTaSb2Ir2. It was derived from the PBE geometry in OQMD, using a wavelength of 1.5418 Å.
Peak positions follow from Bragg's law for the DFT cell and can differ from measured ones.

Atomic structure:
a = 4.512 Å, b = 9.072 Å, c = 6.384 Å
α = 90.00°, β = 90.00°, γ = 90.00°
Positions (direct):
Y (0.000, 0.125, 0.000)
Y (0.500, 0.875, 0.500)
Ta (0.000, 0.619, 0.988)
Ta (0.500, 0.381, 0.488)
Sb (0.000, 0.127, 0.505)
Sb (0.000, 0.627, 0.479)
Sb (0.500, 0.373, 0.979)
Sb (0.500, 0.873, 0.005)
Ir (0.000, 0.391, 0.725)
Ir (0.000, 0.850, 0.768)
Ir (0.500, 0.150, 0.268)
Ir (0.500, 0.609, 0.225)

Principal peaks in the range 2θ = 10–80°, most intense first:
2theta  d/Å  Rel. int.
39.9  2.259  100
24.1  3.691  54
72.5  1.303  20
39.7  2.268  19
47.2  1.926  17
57.6  1.600  13
72.2  1.308  11
47.0  1.931  7
57.8  1.596  6
72.4  1.305  6
63.5  1.465  5
27.9  3.197  5

=====

Repeat the eighth record exactly.
The following is a computed powder X-ray diffraction pattern of YTaSb2Ir2. It was derived from the PBE geometry in OQMD, using a wavelength of 1.5418 Å.
Peak positions follow from Bragg's law for the DFT cell and can differ from measured ones.

Atomic structure:
a = 4.512 Å, b = 9.072 Å, c = 6.384 Å
α = 90.00°, β = 90.00°, γ = 90.00°
Positions (direct):
Y (0.000, 0.125, 0.000)
Y (0.500, 0.875, 0.500)
Ta (0.000, 0.619, 0.988)
Ta (0.500, 0.381, 0.488)
Sb (0.000, 0.127, 0.505)
Sb (0.000, 0.627, 0.479)
Sb (0.500, 0.373, 0.979)
Sb (0.500, 0.873, 0.005)
Ir (0.000, 0.391, 0.725)
Ir (0.000, 0.850, 0.768)
Ir (0.500, 0.150, 0.268)
Ir (0.500, 0.609, 0.225)

Principal peaks in the range 2θ = 10–80°, most intense first:
2theta  d/Å  Rel. int.
39.9  2.259  100
24.1  3.691  54
72.5  1.303  20
39.7  2.268  19
47.2  1.926  17
57.6  1.600  13
72.2  1.308  11
47.0  1.931  7
57.8  1.596  6
72.4  1.305  6
63.5  1.465  5
27.9  3.197  5

=====

What is the formula in the fifth record?
Sb2Ir7